Diffraction record for Cs8MgSn8O12. The powder XRD pattern is theoretical, not measured: it uses the GGA-PBE geometry in the Materials Project and CuKα.
Peak positions follow from Bragg's law for the DFT cell and can differ from measured ones.

Peak list (8 most intense, 10 to 90 degrees two-theta, in order of rising 2θ)
- 2θ = 11.27°, I = 941, hkl 0 0 2
- 2θ = 22.66°, I = 363, hkl 0 0 4
- 2θ = 25.18°, I = 434, hkl 1 -2 1
- 2θ = 27.41°, I = 505, hkl 1 2 -3
- 2θ = 28.62°, I = 265, hkl 2 0 -1
- 2θ = 29.19°, I = 1000, hkl 2 0 -2
- 2θ = 29.35°, I = 628, hkl 1 2 2
- 2θ = 30.33°, I = 336, hkl 1 -2 3

Cell and atoms:
Lattice parameters (Å, degrees): 6.239 9.015 16.074 95.23 101.18 90.44
Fractional coordinates of all 29 atoms:
Cs1 0.003 0.008 0.164
Cs2 0.122 0.846 0.405
Cs3 0.392 0.452 0.627
Cs4 0.494 0.692 0.868
Cs5 0.506 0.308 0.132
Cs6 0.608 0.548 0.373
Cs7 0.878 0.154 0.595
Cs8 0.997 0.992 0.836
Mg1 0.000 0.500 0.000
Sn1 0.029 0.566 0.221
Sn2 0.107 0.295 0.373
Sn3 0.423 0.914 0.683
Sn4 0.498 0.762 0.162
Sn5 0.502 0.238 0.838
Sn6 0.577 0.086 0.317
Sn7 0.893 0.705 0.627
Sn8 0.971 0.434 0.779
O1 0.097 0.518 0.349
O2 0.188 0.767 0.710
O3 0.208 0.279 0.756
O4 0.284 0.726 0.244
O5 0.317 0.232 0.290
O6 0.486 0.008 0.810
O7 0.514 0.992 0.190
O8 0.683 0.768 0.710
O9 0.716 0.274 0.756
O10 0.792 0.721 0.244
O11 0.812 0.233 0.290
O12 0.903 0.482 0.651

---

Diffraction record for Cs8MgSn8O12. The powder XRD pattern is theoretical, not measured: it uses the GGA-PBE geometry in the Materials Project and CuKα.
Peak positions follow from Bragg's law for the DFT cell and can differ from measured ones.

Peak list (8 most intense, 10 to 90 degrees two-theta, in order of rising 2θ)
- 2θ = 10.96°, I = 983, hkl 0 0 2
- 2θ = 25.38°, I = 734, hkl 2 1 1
- 2θ = 27.32°, I = 246, hkl 1 1 -4
- 2θ = 27.58°, I = 620, hkl 2 1 2
- 2θ = 28.33°, I = 1000, hkl 2 1 -3
- 2θ = 28.75°, I = 709, hkl 0 2 0
- 2θ = 30.63°, I = 241, hkl 2 1 3
- 2θ = 40.26°, I = 276, hkl 0 2 5

Cell and atoms:
Lattice parameters (Å, degrees): 9.118 6.210 16.234 90.00 95.85 90.00
Fractional coordinates of all 29 atoms:
Cs1 0.000 0.000 0.000
Cs2 0.031 0.500 0.526
Cs3 0.157 0.000 0.762
Cs4 0.190 0.500 0.308
Cs5 0.452 0.500 0.726
Cs6 0.501 0.000 0.316
Cs7 0.695 0.500 0.969
Cs8 0.745 0.000 0.551
Mg1 0.363 0.500 0.101
Sn1 0.237 0.500 0.907
Sn2 0.289 0.000 0.527
Sn3 0.444 0.000 0.964
Sn4 0.490 0.500 0.475
Sn5 0.721 0.000 0.820
Sn6 0.749 0.500 0.318
Sn7 0.905 0.500 0.768
Sn8 0.964 0.000 0.373
O1 0.062 0.000 0.497
O2 0.134 0.500 0.786
O3 0.335 0.252 0.450
O4 0.335 0.748 0.450
O5 0.381 0.253 0.882
O6 0.381 0.747 0.882
O7 0.535 0.500 0.352
O8 0.665 0.000 0.942
O9 0.821 0.248 0.399
O10 0.821 0.752 0.399
O11 0.875 0.248 0.849
O12 0.875 0.752 0.849

---

Diffraction record for Cs8MgSn8O12. The powder XRD pattern is theoretical, not measured: it uses the GGA-PBE geometry in the Materials Project and CuKα.
Peak positions follow from Bragg's law for the DFT cell and can differ from measured ones.

Peak list (8 most intense, 10 to 90 degrees two-theta, in order of rising 2θ)
- 2θ = 12.33°, I = 628, hkl 0 0 2
- 2θ = 24.53°, I = 866, hkl -1 2 1
- 2θ = 24.81°, I = 713, hkl 0 0 4
- 2θ = 25.39°, I = 672, hkl 1 -1 3
- 2θ = 26.00°, I = 601, hkl 0 1 4
- 2θ = 27.17°, I = 603, hkl 1 -2 2
- 2θ = 27.28°, I = 635, hkl 1 2 -2
- 2θ = 28.57°, I = 1000, hkl 2 0 0

Cell and atoms:
Lattice parameters (Å, degrees): 6.257 9.511 14.402 86.24 87.22 88.26
Fractional coordinates of all 29 atoms:
Cs1 0.000 0.000 0.000
Cs2 0.005 0.596 0.210
Cs3 0.036 0.215 0.731
Cs4 0.209 0.836 0.538
Cs5 0.510 0.691 0.966
Cs6 0.518 0.134 0.453
Cs7 0.528 0.290 0.179
Cs8 0.560 0.520 0.692
Mg1 0.754 0.759 0.436
Sn1 0.013 0.446 0.952
Sn2 0.025 0.036 0.289
Sn3 0.029 0.770 0.803
Sn4 0.469 0.525 0.377
Sn5 0.520 0.266 0.899
Sn6 0.521 0.856 0.228
Sn7 0.531 0.967 0.749
Sn8 0.991 0.343 0.433
O1 0.013 0.665 0.936
O2 0.242 0.384 0.334
O3 0.265 0.910 0.838
O4 0.273 0.409 0.860
O5 0.293 0.914 0.328
O6 0.498 0.637 0.246
O7 0.534 0.183 0.769
O8 0.732 0.389 0.347
O9 0.769 0.408 0.863
O10 0.771 0.906 0.839
O11 0.782 0.876 0.318
O12 0.998 0.122 0.418

---

Question: What is the formula in the third record?
Answer: Cs8MgSn8O12